Calculated PXRD pattern of CeUNiIr for λ = 1.5418 Å (Cu Kα), from a structure optimized by DFT (PBE).

Structure:
Unit cell a=6.5379 b=6.5379 c=6.5379 alpha=90.00 beta=90.00 gamma=90.00
Space group F-43m (No. 216)
Unique sites:
Ce 0.0000 0.0000 0.0000 (multiplicity 4)
U 0.2500 0.2500 0.2500 (multiplicity 4)
Ni 0.2500 0.2500 0.7500 (multiplicity 4)
Ir 0.0000 0.0000 0.5000 (multiplicity 4)

Most intense lines, 10° ≤ 2θ ≤ 80°, in order of falling intensity:
38.96 deg, I 100, (2 2 0); 70.57 deg, I 35, (4 2 2); 23.57 deg, I 17, (1 1 1); 56.28 deg, I 17, (4 0 0); 46.04 deg, I 10, (3 1 1); 61.86 deg, I 4, (3 3 1); 75.57 deg, I 3, (5 1 1)

***

Calculated PXRD pattern of CeNpP2Ir2 for λ = 1.5418 Å (Cu Kα), from a structure optimized by DFT (PBE).

Structure:
Unit cell a=4.0971 b=4.0971 c=7.7759 alpha=90.00 beta=90.00 gamma=120.00
Space group P-3m1 (No. 164)
Unique sites:
Ce 0.0000 0.0000 0.0000 (multiplicity 1)
Np 0.0000 0.0000 0.5000 (multiplicity 1)
P 0.3333 0.6667 0.2357 (multiplicity 2)
Ir 0.3333 0.6667 0.7214 (multiplicity 2)

Most intense lines, 10° ≤ 2θ ≤ 80°, in order of falling intensity:
34.21 deg, I 100, (0 1 2); 44.21 deg, I 46, (1 1 0); 27.63 deg, I 37, (0 1 1); 57.06 deg, I 23, (2 0 2); 66.28 deg, I 22, (1 1 4); 74.90 deg, I 21, (1 2 2); 11.38 deg, I 14, (0 0 1); 43.23 deg, I 13, (1 0 3); 46.73 deg, I 10, (0 0 4); 78.59 deg, I 9, (0 1 6)

***

Calculated PXRD pattern of Sr2CeIr3O12 for λ = 1.5418 Å (Cu Kα), from a structure optimized by DFT (PBE).

Structure:
Unit cell a=7.2793 b=7.2793 c=15.8512 alpha=90.00 beta=90.00 gamma=120.00
Space group R-3m (No. 166, hexagonal axes)
Unique sites:
Sr 0.0000 0.0000 0.1144 (multiplicity 6)
Ce 0.0000 0.0000 0.5000 (multiplicity 3)
Ir 0.0000 0.5000 0.0000 (multiplicity 9)
O 0.0256 0.5128 0.8791 (multiplicity 18)
O 0.0534 0.5267 0.3194 (multiplicity 18)

Most intense lines, 10° ≤ 2θ ≤ 80°, in order of falling intensity:
30.52 deg, I 100, (2 0 2); 28.88 deg, I 90, (0 2 1); 29.81 deg, I 87, (1 1 3); 50.13 deg, I 58, (2 2 0); 15.12 deg, I 56, (1 0 1); 16.78 deg, I 40, (0 0 3); 31.59 deg, I 39, (0 1 5); 54.72 deg, I 32, (2 0 8); 33.93 deg, I 28, (0 0 6); 61.91 deg, I 27, (2 2 6)

***

Calculated PXRD pattern of Sr2CeIrO8 for λ = 1.5418 Å (Cu Kα), from a structure optimized by DFT (PBE).

Structure:
Unit cell a=5.2910 b=7.0274 c=5.3102 alpha=90.00 beta=92.02 gamma=90.00
Space group P2/m (No. 10)
Unique sites:
Sr 0.0000 0.2453 0.0000 (multiplicity 2)
Ce 0.5000 0.5000 0.5000 (multiplicity 1)
Ir 0.5000 0.0000 0.5000 (multiplicity 1)
O 0.2238 0.5000 0.2221 (multiplicity 2)
O 0.2498 0.0000 0.2477 (multiplicity 2)
O 0.3287 0.2023 0.6686 (multiplicity 4)

Most intense lines, 10° ≤ 2θ ≤ 80°, in order of falling intensity:
30.53 deg, I 100, (1 2 0); 23.33 deg, I 64, (1 0 -1); 24.18 deg, I 52, (1 0 1); 45.74 deg, I 45, (2 2 -1); 46.69 deg, I 34, (2 2 1); 16.74 deg, I 31, (0 0 1); 33.78 deg, I 14, (0 0 2); 33.91 deg, I 14, (2 0 0); 58.41 deg, I 11, (0 2 3); 49.52 deg, I 11, (2 0 2)

***

Calculated PXRD pattern of Ce7IrOs5 for λ = 1.5418 Å (Cu Kα), from a structure optimized by DFT (PBE).

Structure:
Unit cell a=5.9449 b=10.0232 c=9.6556 alpha=90.00 beta=90.00 gamma=90.00
Space group Imm2 (No. 44)
Unique sites:
Ce 0.0000 0.0000 0.0000 (multiplicity 2)
Ce 0.0000 0.0000 0.4129 (multiplicity 2)
Ce 0.0000 0.2975 0.6430 (multiplicity 4)
Ce 0.0000 0.3417 0.1055 (multiplicity 4)
Ce 0.0000 0.5000 0.3496 (multiplicity 2)
Ir 0.0000 0.0000 0.7114 (multiplicity 2)
Os 0.0000 0.5000 0.8645 (multiplicity 2)
Os 0.2451 0.2378 0.8870 (multiplicity 8)

Most intense lines, 10° ≤ 2θ ≤ 80°, in order of falling intensity:
39.90 deg, I 100, (2 2 2); 35.10 deg, I 50, (2 2 0); 36.01 deg, I 40, (1 3 2); 35.84 deg, I 34, (0 4 0); 40.56 deg, I 31, (0 4 2); 35.46 deg, I 30, (2 0 2); 37.25 deg, I 29, (0 0 4); 41.36 deg, I 28, (1 1 4); 18.38 deg, I 26, (0 0 2); 63.92 deg, I 21, (2 6 0)

***

Calculated PXRD pattern of Ce8Ir6Os for λ = 1.5418 Å (Cu Kα), from a structure optimized by DFT (PBE).

Structure:
Unit cell a=9.4947 b=9.4947 c=4.4032 alpha=90.00 beta=90.00 gamma=120.00
Space group P-3 (No. 147)
Unique sites:
Ce 0.0427 0.7464 0.2523 (multiplicity 6)
Ce 0.3333 0.6667 0.7513 (multiplicity 2)
Ir 0.0923 0.4726 0.2478 (multiplicity 6)
Os 0.0000 0.0000 0.0000 (multiplicity 1)

Most intense lines, 10° ≤ 2θ ≤ 80°, in order of falling intensity:
35.35 deg, I 100, (2 1 1); 29.73 deg, I 28, (0 2 1); 39.52 deg, I 26, (3 1 0); 50.86 deg, I 26, (1 4 0); 40.99 deg, I 20, (0 0 2); 43.30 deg, I 14, (4 -2 1); 58.25 deg, I 14, (3 1 2); 32.67 deg, I 14, (3 0 0); 71.02 deg, I 13, (3 -2 3); 38.70 deg, I 12, (0 3 1)

***

Calculated PXRD pattern of Ce4IrOs for λ = 1.5418 Å (Cu Kα), from a structure optimized by DFT (PBE).

Structure:
Unit cell a=6.6736 b=6.9984 c=7.2190 alpha=98.52 beta=104.89 gamma=108.63
Space group P-1 (No. 2)
Unique sites:
Ce 0.0162 0.4661 0.2590 (multiplicity 2)
Ce 0.2284 0.0355 0.4864 (multiplicity 2)
Ce 0.2639 0.9647 0.0081 (multiplicity 2)
Ce 0.4808 0.5360 0.2370 (multiplicity 2)
Ir 0.3763 0.7516 0.6251 (multiplicity 2)
Os 0.1263 0.2515 0.8753 (multiplicity 2)

Most intense lines, 10° ≤ 2θ ≤ 80°, in order of falling intensity:
32.93 deg, I 100, (0 1 2); 28.35 deg, I 42, (1 -2 1); 37.63 deg, I 35, (2 1 0); 44.05 deg, I 30, (0 3 -2); 43.26 deg, I 30, (-1 3 1); 22.84 deg, I 22, (1 1 -1); 44.73 deg, I 22, (1 2 -3); 47.78 deg, I 20, (3 -1 1); 41.72 deg, I 16, (2 -3 0); 64.97 deg, I 14, (2 2 2)

***

Calculated PXRD pattern of Ce4IrOs2 for λ = 1.5418 Å (Cu Kα), from a structure optimized by DFT (PBE).

Structure:
Unit cell a=12.2116 b=8.6721 c=8.6015 alpha=90.00 beta=134.76 gamma=90.00
Space group C2 (No. 5)
Unique sites:
Ce 0.0611 0.0000 0.2542 (multiplicity 4)
Ce 0.0606 0.3808 0.3673 (multiplicity 4)
Ce 0.1905 0.6297 0.1340 (multiplicity 4)
Ce 0.1903 0.7511 0.7474 (multiplicity 4)
Ir 0.2503 0.4405 0.8754 (multiplicity 4)
Os 0.0000 0.0701 0.5000 (multiplicity 2)
Os 0.0000 0.3099 0.0000 (multiplicity 2)
Os 0.1197 0.6903 0.3698 (multiplicity 4)

Most intense lines, 10° ≤ 2θ ≤ 80°, in order of falling intensity:
32.67 deg, I 100, (2 0 1); 38.92 deg, I 52, (5 1 -2); 32.90 deg, I 48, (3 1 -3); 39.07 deg, I 23, (5 1 -3); 66.50 deg, I 19, (7 1 -1); 46.90 deg, I 17, (6 0 -2); 53.93 deg, I 15, (3 3 1); 54.21 deg, I 13, (1 1 -4); 49.41 deg, I 13, (0 2 3); 25.19 deg, I 12, (1 1 1)